# Gd3AlFeS7
Theoretical powder XRD pattern, CuKα. Input: DFT lattice parameters and positions (PBE).
Kinematic intensities with the Lorentz-polarization factor, no thermal factor.

The 10 most intense peaks (2θ = 10–90°), low angle first:
17.91°, I 49
23.38°, I 22
25.70°, I 100
28.05°, I 25
34.61°, I 20
35.19°, I 26
36.28°, I 40
37.01°, I 24
40.89°, I 24
49.61°, I 40

Structure:
```
24
Lattice="9.6832 0.0000 0.0000 0.0000 6.1303 0.0000 -4.8208 0.0000 8.4247" Properties=species:S:1:pos:R:3 pbc="T T T"
Gd -0.4837 6.1295 2.9407
Gd 2.0603 3.0518 1.0173
Gd -0.1002 3.0651 6.1150
Gd 4.9626 0.0000 2.3097
Gd 2.8020 6.1170 7.4074
Gd 5.3461 3.0644 5.4839
Al -2.3947 5.6592 7.0140
Al 7.2571 2.5941 1.4107
Fe 2.4283 5.0292 4.1754
Fe 2.4340 1.9641 4.2493
S -4.2828 4.7184 7.8134
S -2.1430 4.7131 4.9856
S -2.4023 1.7646 7.0108
S 0.6202 3.5719 3.3748
S 2.2329 0.5128 2.2200
S 0.8063 0.5029 5.3763
S -0.7684 4.7165 8.2590
S 5.6307 1.6513 0.1656
S 4.0561 3.5681 3.0483
S 2.6294 3.5779 6.2047
S 4.2422 0.5068 5.0499
S 7.2647 4.8297 1.4139
S 7.0053 1.6479 3.4391
S 9.1451 1.6532 0.6113
```